Record 1
This entry pairs a crystal structure of LiMnO2 with its simulated X-ray diffraction stick pattern. Radiation: Cu Ka. Structure: a structure optimized by DFT (GGA+U).
Intensities are scaled so that the largest is 100.

a = 5.971 Å, b = 5.971 Å, c = 8.428 Å
α = 89.70°, β = 89.92°, γ = 89.45°
Fractional positions:
Li  0.000  0.000  0.000
Li  0.245  0.754  0.753
Li  0.247  0.253  0.252
Li  0.248  0.253  0.748
Li  0.500  0.500  0.500
Li  0.752  0.747  0.252
Li  0.753  0.747  0.748
Li  0.755  0.246  0.247
Mn  0.000  0.000  0.500
Mn  0.000  0.500  0.000
Mn  0.000  0.500  0.500
Mn  0.249  0.748  0.251
Mn  0.500  0.000  0.000
Mn  0.500  0.000  0.500
Mn  0.500  0.500  0.000
Mn  0.751  0.252  0.749
O  0.014  0.514  0.268
O  0.017  0.982  0.272
O  0.215  0.248  0.499
O  0.228  0.753  0.992
O  0.251  0.785  0.516
O  0.255  0.276  0.000
O  0.482  0.518  0.237
O  0.485  0.984  0.262
O  0.515  0.016  0.738
O  0.518  0.482  0.763
O  0.745  0.724  0.000
O  0.749  0.215  0.484
O  0.772  0.247  0.008
O  0.785  0.752  0.501
O  0.983  0.018  0.728
O  0.986  0.486  0.732

Peak list (6 most intense, 10° ≤ 2θ ≤ 90°, sorted by position)
- (0 1 -1), 18.23°, d = 4.867 Å, rel. 100.0
- (0 0 2), 21.11°, d = 4.208 Å, rel. 56.4
- (2 2 0), 42.62°, d = 2.121 Å, rel. 52.2
- (0 0 4), 42.93°, d = 2.107 Å, rel. 50.9
- (2 -2 0), 43.05°, d = 2.101 Å, rel. 50.5
- (2 2 -4), 62.21°, d = 1.492 Å, rel. 41.3

---

Record 2
This entry pairs a crystal structure of NiPO4 with its simulated X-ray diffraction stick pattern. Radiation: Cu Ka. Structure: a structure optimized by DFT (GGA+U).
Intensities are scaled so that the largest is 100.

a = 9.009 Å, b = 7.344 Å, c = 9.873 Å
α = 90.00°, β = 90.00°, γ = 90.00°
Fractional positions:
Ni  0.094  0.159  0.000
Ni  0.095  0.153  0.667
Ni  0.405  0.153  0.167
Ni  0.406  0.159  0.500
Ni  0.594  0.841  0.000
Ni  0.595  0.847  0.667
Ni  0.905  0.847  0.167
Ni  0.906  0.841  0.500
P  0.087  0.163  0.335
P  0.249  0.742  0.081
P  0.251  0.742  0.581
P  0.413  0.163  0.835
P  0.587  0.837  0.335
P  0.749  0.258  0.081
P  0.751  0.258  0.581
P  0.913  0.837  0.835
O  0.009  0.017  0.834
O  0.031  0.385  0.898
O  0.032  0.383  0.763
O  0.111  0.853  0.594
O  0.112  0.859  0.075
O  0.184  0.176  0.464
O  0.184  0.180  0.206
O  0.247  0.543  0.074
O  0.253  0.543  0.574
O  0.316  0.176  0.964
O  0.316  0.180  0.706
O  0.388  0.859  0.575
O  0.389  0.853  0.094
O  0.468  0.383  0.263
O  0.469  0.385  0.398
O  0.491  0.017  0.334
O  0.509  0.983  0.834
O  0.531  0.615  0.898
O  0.532  0.617  0.763
O  0.611  0.147  0.594
O  0.612  0.141  0.075
O  0.684  0.820  0.206
O  0.684  0.824  0.464
O  0.747  0.457  0.074
O  0.753  0.457  0.574
O  0.816  0.820  0.706
O  0.816  0.824  0.964
O  0.888  0.141  0.575
O  0.889  0.147  0.094
O  0.968  0.617  0.263
O  0.969  0.615  0.398
O  0.991  0.983  0.334

Peak list (6 most intense, 10° ≤ 2θ ≤ 90°, sorted by position)
- (0 1 0), 12.05°, d = 7.344 Å, rel. 100.0
- (1 1 0), 15.57°, d = 5.692 Å, rel. 32.2
- (0 0 2), 17.98°, d = 4.934 Å, rel. 43.6
- (1 1 3), 31.40°, d = 2.849 Å, rel. 34.2
- (3 1 0), 32.20°, d = 2.780 Å, rel. 40.4
- (1 2 3), 38.05°, d = 2.365 Å, rel. 32.5